Record 1
The following is a calculated X-ray powder pattern of Na2GaHgCl6. It was derived from DFT lattice parameters and positions (PBE), using λ = 1.5418 Å (Cu Kα).
Neutral-atom scattering factors, no anomalous dispersion.

Structure:
```
Na2GaHgCl6
1.0
0.000 5.194 5.194
5.194 0.000 5.194
5.194 5.194 0.000
Na Ga Hg Cl
2 1 1 6
direct
0.250 0.250 0.250 Na
0.750 0.750 0.750 Na
0.000 0.000 0.000 Ga
0.500 0.500 0.500 Hg
0.233 0.233 0.767 Cl
0.233 0.767 0.233 Cl
0.233 0.767 0.767 Cl
0.767 0.233 0.233 Cl
0.767 0.233 0.767 Cl
0.767 0.767 0.233 Cl
```

Most intense lines, 2θ from 10° to 90°, low angle first:
2θ/deg  d (Å)  I (rel.)
17.1  5.194  100
24.2  3.673  60
34.5  2.597  55
38.8  2.323  48
42.6  2.121  28
49.6  1.836  36

---

Record 2
The following is a calculated X-ray powder pattern of Sn7Pd5. It was derived from DFT lattice parameters and positions (PBE), using λ = 1.5418 Å (Cu Kα).
Neutral-atom scattering factors, no anomalous dispersion.

Structure:
```
Sn7Pd5
1.0
6.648 -2.192 0.000
6.648 2.192 0.000
-3.561 0.000 9.055
Sn Pd
7 5
direct
0.000 0.000 0.000 Sn
0.053 0.402 0.617 Sn
0.065 0.428 0.119 Sn
0.322 0.663 0.675 Sn
0.337 0.678 0.325 Sn
0.572 0.935 0.881 Sn
0.598 0.947 0.383 Sn
0.697 0.044 0.697 Pd
0.704 0.063 0.180 Pd
0.834 0.166 0.500 Pd
0.937 0.296 0.820 Pd
0.956 0.303 0.303 Pd
```

Most intense lines, 2θ from 10° to 90°, low angle first:
2θ/deg  d (Å)  I (rel.)
21.5  4.132  16
29.7  3.004  20
37.0  2.433  26
40.2  2.243  100
41.2  2.192  25
43.2  2.096  20

---

Record 3
The following is a calculated X-ray powder pattern of PrCo2B2. It was derived from DFT lattice parameters and positions (PBE), using λ = 1.5418 Å (Cu Kα).
Neutral-atom scattering factors, no anomalous dispersion.

Structure:
```
PrCo2B2
1.0
3.591 0.000 0.000
0.000 3.591 0.000
0.000 0.000 10.092
Pr Co B
2 4 4
direct
0.000 0.000 0.000 Pr
0.500 0.500 0.500 Pr
0.000 0.500 0.250 Co
0.000 0.500 0.750 Co
0.500 0.000 0.250 Co
0.500 0.000 0.750 Co
0.000 0.000 0.336 B
0.000 0.000 0.664 B
0.500 0.500 0.164 B
0.500 0.500 0.836 B
```

Most intense lines, 2θ from 10° to 90°, low angle first:
2θ/deg  d (Å)  I (rel.)
26.3  3.383  78
35.6  2.523  34
36.6  2.455  47
39.7  2.268  100
50.9  1.795  28
66.7  1.402  24

---

Record 4
The following is a calculated X-ray powder pattern of TbRh2. It was derived from DFT lattice parameters and positions (PBE), using λ = 1.5418 Å (Cu Kα).
Neutral-atom scattering factors, no anomalous dispersion.

Structure:
```
TbRh2
1.0
0.000 3.787 3.787
3.787 0.000 3.787
3.787 3.787 0.000
Tb Rh
2 4
direct
0.125 0.125 0.125 Tb
0.875 0.875 0.875 Tb
0.000 0.500 0.500 Rh
0.500 0.000 0.500 Rh
0.500 0.500 0.000 Rh
0.500 0.500 0.500 Rh
```

Most intense lines, 2θ from 10° to 90°, low angle first:
2θ/deg  d (Å)  I (rel.)
33.5  2.678  41
39.5  2.284  100
41.3  2.186  28
59.8  1.546  16
63.9  1.458  32
70.3  1.339  26

---

Record 5
The following is a calculated X-ray powder pattern of LaSClO4. It was derived from DFT lattice parameters and positions (PBE), using λ = 1.5418 Å (Cu Kα).
Neutral-atom scattering factors, no anomalous dispersion.

Structure:
```
LaSClO4
1.0
6.825 0.000 0.000
0.000 8.227 0.000
-3.531 0.000 7.990
La S Cl O
4 4 4 16
direct
0.121 0.192 0.231 La
0.121 0.308 0.731 La
0.879 0.692 0.269 La
0.879 0.808 0.769 La
0.276 0.582 0.066 S
0.276 0.918 0.566 S
0.724 0.082 0.434 S
0.724 0.418 0.934 S
0.226 0.036 0.969 Cl
0.226 0.464 0.469 Cl
0.774 0.536 0.531 Cl
0.774 0.964 0.031 Cl
0.133 0.681 0.120 O
0.133 0.819 0.620 O
0.176 0.588 0.876 O
0.176 0.912 0.376 O
0.282 0.091 0.615 O
0.282 0.409 0.115 O
0.492 0.651 0.129 O
0.492 0.849 0.629 O
0.508 0.151 0.371 O
0.508 0.349 0.871 O
0.718 0.591 0.885 O
0.718 0.909 0.385 O
0.824 0.088 0.624 O
0.824 0.412 0.124 O
0.867 0.181 0.380 O
0.867 0.319 0.880 O
```

Most intense lines, 2θ from 10° to 90°, low angle first:
2θ/deg  d (Å)  I (rel.)
14.2  6.243  100
17.8  4.973  57
23.7  3.761  90
24.3  3.657  58
30.3  2.946  49
31.2  2.866  64